[1]
Starting from a crystal structure in the Materials Project, relaxed with PBE+U, the powder diffraction line list of BaEuYWO6 was computed for Cu Kα, 1.54184 Å.

Crystal structure
```
data_BaEuYWO6
_chemical_formula_sum 'Ba4 Eu4 Y4 W4 O24'
_cell_length_a 8.464
_cell_length_b 8.464
_cell_length_c 8.464
_cell_angle_alpha 90.00
_cell_angle_beta 90.00
_cell_angle_gamma 90.00
_space_group_name_H-M_alt 'F -4 3 m'
_space_group_IT_number 216
_space_group_name_Hall 'F -4 2 3'
loop_
_atom_site_label
_atom_site_fract_x
_atom_site_fract_y
_atom_site_fract_z
Ba1 0.000 0.000 0.000
Eu1 0.000 0.000 0.500
Y1 0.250 0.250 0.250
W1 0.250 0.250 0.750
O1 0.014 0.250 0.750
```

The 10 most intense peaks (2θ from 5° to 70°), in order of rising 2θ:
2θ = 18.15°, intensity 8
2θ = 29.86°, intensity 100
2θ = 35.16°, intensity 4
2θ = 36.78°, intensity 2
2θ = 42.73°, intensity 29
2θ = 46.78°, intensity 1
2θ = 53.00°, intensity 41
2θ = 56.49°, intensity 2
2θ = 62.02°, intensity 18
2θ = 65.21°, intensity 2



[2]
Starting from a crystal structure in the Materials Project, relaxed with PBE+U, the powder diffraction line list of BaEuYWO6 was computed for Cu Kα, 1.54184 Å.

Crystal structure
```
data_BaEuYWO6
_chemical_formula_sum 'Ba2 Eu2 Y2 W2 O12'
_cell_length_a 5.936
_cell_length_b 5.956
_cell_length_c 8.475
_cell_angle_alpha 90.12
_cell_angle_beta 90.14
_cell_angle_gamma 90.78
_space_group_name_H-M_alt 'P -1'
_space_group_IT_number 2
loop_
_space_group_symop_operation_xyz
'x,y,z'
'-x,-y,-z'
loop_
_atom_site_label
_atom_site_fract_x
_atom_site_fract_y
_atom_site_fract_z
Ba1 0.004 0.021 0.251
Eu1 0.499 0.532 0.252
Y1 0.000 0.500 0.500
Y2 0.500 0.000 0.000
W1 0.000 0.500 0.000
W2 0.500 0.000 0.500
O1 0.081 0.500 0.763
O2 0.207 0.759 0.033
O3 0.241 0.791 0.472
O4 0.272 0.299 0.039
O5 0.301 0.275 0.461
O6 0.448 0.029 0.738
```

The 10 most intense peaks (2θ from 5° to 70°), in order of rising 2θ:
2θ = 18.22°, intensity 23
2θ = 29.83°, intensity 100
2θ = 30.00°, intensity 95
2θ = 30.10°, intensity 95
2θ = 42.70°, intensity 53
2θ = 43.34°, intensity 24
2θ = 53.03°, intensity 40
2θ = 53.14°, intensity 31
2θ = 53.50°, intensity 19
2θ = 61.97°, intensity 15